# CsPuThSe4
Theoretical XRD peak list, Cu Kα (weighted mean of Kα1 and Kα2). Input: a DFT-relaxed cell (GGA-PBE, Alexandria).
No peak broadening, texture or thermal motion is included.

Structural model:
Cell lengths 9.098, 9.178, 12.863 Å; angles 90.00, 90.00, 90.00 degrees
Space group Imma (No. 74)
One atom of each set of equivalent atoms:
Cs1 0.000 0.250 0.123 x4
Pu1 0.000 0.000 0.500 x4
Th1 0.250 0.250 0.750 x4
Se1 0.000 0.047 0.731 x8
Se2 0.202 0.250 0.525 x8

Main lines, in order of falling intensity (5° ≤ 2θ ≤ 70°):
h k l	2θ/deg	I (rel.)
2 2 4	39.56	100
1 0 1	11.88	91
1 0 3	22.90	86
2 2 0	27.61	55
3 2 1	36.21	52
1 2 1	22.78	44
2 3 1	36.06	34
0 0 4	27.74	28

---

# Cs2PuTe3
Theoretical XRD peak list, Cu Kα (weighted mean of Kα1 and Kα2). Input: a DFT-relaxed cell (GGA-PBE, Alexandria).
No peak broadening, texture or thermal motion is included.

Structural model:
Cell lengths 4.616, 6.771, 16.932 Å; angles 90.00, 90.00, 90.00 degrees
Space group Immm (No. 71)
One atom of each set of equivalent atoms:
Cs1 0.000 0.000 0.185 x4
Pu1 0.000 0.000 0.500 x2
Te1 0.000 0.500 0.119 x4
Te2 0.000 0.500 0.500 x2

Main lines, in order of falling intensity (5° ≤ 2θ ≤ 70°):
h k l	2θ/deg	I (rel.)
1 0 3	24.92	100
1 2 3	36.57	73
0 2 0	26.33	57
0 0 2	10.45	23
2 2 0	47.69	23
1 1 4	31.58	22
0 1 1	14.09	22
2 0 0	39.03	20

---

# Cs4Pu3UTe8
Theoretical XRD peak list, Cu Kα (weighted mean of Kα1 and Kα2). Input: a DFT-relaxed cell (GGA-PBE, Alexandria).
No peak broadening, texture or thermal motion is included.

Structural model:
Cell lengths 11.170, 11.203, 9.047 Å; angles 90.00, 90.00, 90.00 degrees
Space group Cmmm (No. 65)
One atom of each set of equivalent atoms:
Cs1 0.000 0.000 0.000 x2
Cs2 0.000 0.500 0.000 x2
Cs3 0.250 0.250 0.000 x4
Pu1 0.000 0.000 0.500 x2
Pu2 0.250 0.250 0.500 x4
U1 0.000 0.500 0.500 x2
Te1 0.000 0.253 0.304 x8
Te2 0.247 0.500 0.304 x8

Main lines, in order of falling intensity (5° ≤ 2θ ≤ 70°):
h k l	2θ/deg	I (rel.)
2 2 2	30.01	100
4 0 0	32.00	51
0 0 1	9.78	34
4 4 0	45.89	19
6 2 2	55.87	19
2 2 3	37.50	18
2 6 2	55.75	18
4 0 4	52.00	12

---

# Cs2PuU2Te6
Theoretical XRD peak list, Cu Kα (weighted mean of Kα1 and Kα2). Input: a DFT-relaxed cell (GGA-PBE, Alexandria).
No peak broadening, texture or thermal motion is included.

Structural model:
Cell lengths 7.765, 13.479, 9.523 Å; angles 90.00, 105.61, 90.00 degrees
Space group C2/m (No. 12)
One atom of each set of equivalent atoms:
Cs1 0.000 0.165 0.000 x4
Pu1 0.000 0.000 0.500 x2
U1 0.000 0.333 0.500 x4
Te1 0.221 0.500 0.689 x4
Te2 0.232 0.169 0.689 x8

Main lines, in order of falling intensity (5° ≤ 2θ ≤ 70°):
h k l	2θ/deg	I (rel.)
1 3 1	26.31	100
0 0 1	9.64	91
0 6 0	40.18	61
1 3 -3	34.83	50
2 0 -2	26.39	50
1 3 2	32.39	35
2 6 -2	48.69	28
2 0 3	43.00	21

---

# CsRb12
Theoretical XRD peak list, Cu Kα (weighted mean of Kα1 and Kα2). Input: a DFT-relaxed cell (GGA-PBE, Alexandria).
No peak broadening, texture or thermal motion is included.

Structural model:
Cell lengths 16.391, 16.391, 9.172 Å; angles 90.00, 90.00, 90.00 degrees
Space group I4/mmm (No. 139)
One atom of each set of equivalent atoms:
Cs1 0.000 0.000 0.000 x2
Rb1 0.000 0.211 0.500 x8
Rb2 0.000 0.356 0.000 x8
Rb3 0.250 0.250 0.250 x8

Main lines, in order of falling intensity (5° ≤ 2θ ≤ 70°):
h k l	2θ/deg	I (rel.)
3 2 1	21.82	100
2 0 2	22.21	71
4 0 0	21.69	56
2 2 2	24.76	50
3 0 1	18.91	43
6 0 2	38.35	36
4 2 0	24.28	32
3 2 3	35.38	29

---

# Cs2Rb7
Theoretical XRD peak list, Cu Kα (weighted mean of Kα1 and Kα2). Input: a DFT-relaxed cell (GGA-PBE, Alexandria).
No peak broadening, texture or thermal motion is included.

Structural model:
Cell lengths 8.8563, 8.8563, 12.4933 Å; angles 90.00, 90.00, 120.00 degrees
Space group P-31m (No. 162)
One atom of each set of equivalent atoms:
Cs1 0.3333 0.6667 0.0000 x2
Rb1 0.0000 0.0000 0.0000 x1
Rb2 0.0000 0.3298 0.6619 x6

Main lines, in order of falling intensity (5° ≤ 2θ ≤ 70°):
h k l	2θ/deg	I (rel.)
1 1 1	21.30	100
2 -1 2	24.64	52
4 -2 1	41.45	51
3 0 0	35.13	41
4 1 1	55.41	16
3 3 3	67.33	15
2 2 2	43.36	11
3 3 0	63.00	11

---

# CsRb4
Theoretical XRD peak list, Cu Kα (weighted mean of Kα1 and Kα2). Input: a DFT-relaxed cell (GGA-PBE, Alexandria).
No peak broadening, texture or thermal motion is included.

Structural model:
Cell lengths 10.361, 10.361, 9.036 Å; angles 90.00, 90.00, 90.00 degrees
Space group P4/mcc (No. 124)
One atom of each set of equivalent atoms:
Cs1 0.000 0.000 0.250 x2
Rb1 0.196 0.389 0.000 x8

Main lines, in order of falling intensity (5° ≤ 2θ ≤ 70°):
h k l	2θ/deg	I (rel.)
2 1 1	21.53	100
2 1 0	19.15	52
3 1 0	27.22	28
1 1 2	23.13	27
3 1 1	28.99	26
2 0 2	26.17	23
2 1 3	35.55	20
5 0 0	43.68	19

---

# Cs6Rb7
Theoretical XRD peak list, Cu Kα (weighted mean of Kα1 and Kα2). Input: a DFT-relaxed cell (GGA-PBE, Alexandria).
No peak broadening, texture or thermal motion is included.

Structural model:
Cell lengths 9.4438, 9.4438, 51.4948 Å; angles 90.00, 90.00, 120.00 degrees
Space group R-3m (No. 166, hexagonal axes)
One atom of each set of equivalent atoms:
Cs1 0.0000 0.0000 0.0472 x6
Cs2 0.0000 0.0000 0.1511 x6
Cs3 0.0000 0.0000 0.3336 x6
Rb1 0.0000 0.0000 0.5000 x3
Rb2 0.0029 0.5015 0.9100 x18

Main lines, in order of falling intensity (5° ≤ 2θ ≤ 70°):
h k l	2θ/deg	I (rel.)
0 1 11	21.85	100
1 1 6	21.48	96
1 1 0	18.79	69
1 0 10	20.38	59
2 2 0	38.12	45
2 0 5	23.41	39
1 2 11	34.78	38
2 1 10	33.82	32

---

# Cs4Rb11
Theoretical XRD peak list, Cu Kα (weighted mean of Kα1 and Kα2). Input: a DFT-relaxed cell (GGA-PBE, Alexandria).
No peak broadening, texture or thermal motion is included.

Structural model:
Cell lengths 17.664, 17.664, 9.250 Å; angles 90.00, 90.00, 90.00 degrees
Space group P4_2/mnm (No. 136)
One atom of each set of equivalent atoms:
Cs1 0.041 0.363 0.000 x8
Rb1 0.000 0.000 0.500 x2
Rb2 0.070 0.259 0.500 x8
Rb3 0.095 0.095 0.000 x4
Rb4 0.179 0.821 0.249 x8

Main lines, in order of falling intensity (5° ≤ 2θ ≤ 70°):
h k l	2θ/deg	I (rel.)
4 1 1	22.88	100
4 1 0	20.73	78
2 1 2	22.27	57
3 3 1	23.43	49
3 3 0	21.34	37
4 1 3	35.90	37
2 0 2	21.69	31
3 3 3	36.22	27

---

# CsRb8
Theoretical XRD peak list, Cu Kα (weighted mean of Kα1 and Kα2). Input: a DFT-relaxed cell (GGA-PBE, Alexandria).
No peak broadening, texture or thermal motion is included.

Structural model:
Cell lengths 15.044, 15.044, 7.309 Å; angles 90.00, 90.00, 90.00 degrees
Space group I4/mmm (No. 139)
One atom of each set of equivalent atoms:
Cs1 0.000 0.000 0.000 x2
Rb1 0.000 0.336 0.000 x8
Rb2 0.170 0.170 0.500 x8

Main lines, in order of falling intensity (5° ≤ 2θ ≤ 70°):
h k l	2θ/deg	I (rel.)
3 0 1	21.49	100
3 3 0	25.11	34
6 3 1	42.15	33
3 3 2	35.27	28
0 0 2	24.36	18
3 0 3	41.20	18
6 0 2	43.79	15
6 3 3	55.71	14

---

# Cs3Rb4
Theoretical XRD peak list, Cu Kα (weighted mean of Kα1 and Kα2). Input: a DFT-relaxed cell (GGA-PBE, Alexandria).
No peak broadening, texture or thermal motion is included.

Structural model:
Cell lengths 5.201, 7.298, 36.542 Å; angles 90.00, 90.00, 90.00 degrees
Space group Immm (No. 71)
One atom of each set of equivalent atoms:
Cs1 0.000 0.000 0.000 x2
Cs2 0.000 0.000 0.145 x4
Rb1 0.000 0.000 0.284 x4
Rb2 0.000 0.000 0.428 x4

Main lines, in order of falling intensity (5° ≤ 2θ ≤ 70°):
h k l	2θ/deg	I (rel.)
1 1 0	20.95	100
1 0 7	24.16	35
2 1 7	40.64	35
1 2 7	34.60	28
0 2 0	24.39	17
1 3 0	40.94	17
2 3 7	54.53	14
3 0 7	55.90	10

---

# Cs3Rb4
Theoretical XRD peak list, Cu Kα (weighted mean of Kα1 and Kα2). Input: a DFT-relaxed cell (GGA-PBE, Alexandria).
No peak broadening, texture or thermal motion is included.

Structural model:
Cell lengths 13.7906, 13.7906, 8.4649 Å; angles 90.00, 90.00, 120.00 degrees
Space group P6_3/m (No. 176)
One atom of each set of equivalent atoms:
Cs1 0.0564 0.8065 0.2500 x6
Rb1 0.0997 0.6095 0.7500 x6
Rb2 0.3333 0.6667 0.2500 x2

Main lines, in order of falling intensity (5° ≤ 2θ ≤ 70°):
h k l	2θ/deg	I (rel.)
1 2 1	22.32	100
4 1 2	40.66	26
0 0 2	20.99	26
1 2 3	37.59	25
4 1 0	34.41	24
1 2 0	19.67	23
2 4 1	41.40	18
1 2 2	28.92	17

---

# Cs7Rb4
Theoretical XRD peak list, Cu Kα (weighted mean of Kα1 and Kα2). Input: a DFT-relaxed cell (GGA-PBE, Alexandria).
No peak broadening, texture or thermal motion is included.

Structural model:
Cell lengths 13.7563, 13.7563, 7.5678 Å; angles 90.00, 90.00, 120.00 degrees
Space group P-6m2 (No. 187)
One atom of each set of equivalent atoms:
Cs1 0.0000 0.0000 0.0000 x1
Cs2 0.1920 0.3840 0.5000 x3
Cs3 0.5322 0.0644 0.0000 x3
Rb1 0.3333 0.6667 0.0000 x1
Rb2 0.4183 0.2092 0.5000 x3

Main lines, in order of falling intensity (5° ≤ 2θ ≤ 70°):
h k l	2θ/deg	I (rel.)
2 0 1	18.96	100
2 1 1	22.98	41
2 1 0	19.72	32
0 0 2	23.51	29
2 2 0	25.91	28
2 2 2	35.27	25
2 1 2	30.87	21
5 0 1	39.66	19